Diffraction record for Li5Mn2Co3O10. The X-ray diffraction stick pattern is computed, not measured: it uses a PBE+U-relaxed structure and a wavelength of 1.5418 Å.

Cell and atoms:
a b c (Å): 5.1260 5.1294 7.7292
angles (deg): 108.98 102.39 99.81
Atoms (fractional coordinates):
Li 0.0000 0.0000 0.0000
Li 0.0016 0.4237 0.8081
Li 0.0124 0.2113 0.4231
Li 0.0154 0.8086 0.6225
Li 0.5041 0.6131 0.7180
Mn 0.5042 0.2028 0.9103
Mn 0.5086 0.0152 0.5194
Co 0.0084 0.6094 0.2123
Co 0.5087 0.4189 0.3206
Co 0.5087 0.8064 0.1092
O 0.2731 0.6335 0.4600
O 0.2741 0.8389 0.8717
O 0.2748 0.0133 0.2837
O 0.2802 0.3918 0.0677
O 0.2867 0.1999 0.6716
O 0.7286 0.0259 0.7578
O 0.7311 0.3811 0.5438
O 0.7396 0.8145 0.3762
O 0.7428 0.2176 0.1498
O 0.7459 0.5863 0.9666

Top 10 peaks for 2θ from 5° to 70°, by angle:
hkl 0 0 1, 2θ = 12.7°, intensity 59
hkl 1 0 0, 2θ = 18.4°, intensity 100
hkl 1 -1 0, 2θ = 22.7°, intensity 17
hkl 0 1 1, 2θ = 26.6°, intensity 15
hkl 0 2 -1, 2θ = 35.6°, intensity 15
hkl 2 0 0, 2θ = 37.2°, intensity 19
hkl 1 2 -1, 2θ = 43.2°, intensity 51
hkl -2 1 2, 2θ = 43.4°, intensity 49
hkl 1 -1 3, 2θ = 43.6°, intensity 48
hkl -1 3 1, 2θ = 62.7°, intensity 27